[1]
Diffraction record for PrY2Er6Tm. The powder XRD pattern is theoretical, not measured: it uses DFT lattice parameters and positions (GGA-PBE) and a wavelength of 1.5418 Å.
Peak positions follow from Bragg's law for the DFT cell and can differ from measured ones.

Largest 10 diffraction maxima, sorted by position, 5 to 70 degrees two-theta:
(hkl)	two_theta	intensity
1 3 2	28.6	56
3 1 -1	30.6	87
2 2 2	30.9	100
0 2 3	31.3	72
1 5 0	31.5	60
2 4 -1	31.9	58
1 5 -1	32.7	22
1 3 -3	34.9	53
2 2 -3	35.8	35
2 4 2	37.4	24

```
data_PrY2Er6Tm
_chemical_formula_sum 'Pr4 Y8 Er24 Tm4'
_symmetry_space_group_name_H-M 'C 1 2/c 1'
_symmetry_Int_Tables_number 15
_symmetry_space_group_name_Hall '-C 2yc'
_cell_length_a 9.2033
_cell_length_b 14.9439
_cell_length_c 9.3046
_cell_angle_alpha 90.00
_cell_angle_beta 94.67
_cell_angle_gamma 90.00
loop_
_atom_site_label
_atom_site_type_symbol
_atom_site_fract_x
_atom_site_fract_y
_atom_site_fract_z
Pr1 Pr 0.0000 0.0348 0.2500
Y1 Y 0.2450 0.4486 0.4476
Er1 Er 0.0592 0.1815 0.9406
Er2 Er 0.0946 0.3843 0.1121
Er3 Er 0.2164 0.2263 0.3172
Tm1 Tm 0.0000 0.4118 0.7500
```

[2]
Diffraction record for PmAl4Pd2. The powder XRD pattern is theoretical, not measured: it uses DFT lattice parameters and positions (GGA-PBE) and a wavelength of 1.5418 Å.
Peak positions follow from Bragg's law for the DFT cell and can differ from measured ones.

Largest 10 diffraction maxima, sorted by position, 5 to 70 degrees two-theta:
(hkl)	two_theta	intensity
1 1 0	16.0	33
1 1 1	26.9	48
2 2 0	32.3	55
2 1 1	33.5	100
3 1 0	36.2	25
3 0 1	40.9	26
3 1 1	42.5	55
0 0 2	43.9	27
2 2 2	55.5	23
5 2 1	68.3	23

```
data_PmAl4Pd2
_chemical_formula_sum 'Pm2 Al8 Pd4'
_symmetry_space_group_name_H-M 'P 42/m n m'
_symmetry_Int_Tables_number 136
_symmetry_space_group_name_Hall '-P 4n 2n'
_cell_length_a 7.8438
_cell_length_b 7.8438
_cell_length_c 4.1270
_cell_angle_alpha 90.00
_cell_angle_beta 90.00
_cell_angle_gamma 90.00
loop_
_atom_site_label
_atom_site_type_symbol
_atom_site_fract_x
_atom_site_fract_y
_atom_site_fract_z
Pm1 Pm 0.0000 0.0000 0.0000
Al1 Al 0.0835 0.3377 0.5000
Pd1 Pd 0.2197 0.7803 0.5000
```

[3]
Diffraction record for Tb7Nd12Ho. The powder XRD pattern is theoretical, not measured: it uses DFT lattice parameters and positions (GGA-PBE) and a wavelength of 1.5418 Å.
Peak positions follow from Bragg's law for the DFT cell and can differ from measured ones.

Largest 10 diffraction maxima, sorted by position, 5 to 70 degrees two-theta:
(hkl)	two_theta	intensity
3 3 0	27.2	45
0 5 1	29.9	100
2 0 2	30.4	44
5 1 1	32.6	47
5 2 0	32.8	46
3 1 2	34.4	26
5 0 2	39.1	40
7 0 1	39.7	26
5 5 0	46.1	26
0 7 2	47.3	27

```
data_Tb7Nd12Ho
_chemical_formula_sum 'Tb21 Nd36 Ho3'
_symmetry_space_group_name_H-M 'R -3 m'
_symmetry_Int_Tables_number 166
_symmetry_space_group_name_Hall '-R 3 2"'
_cell_length_a 19.6775
_cell_length_b 19.6775
_cell_length_c 6.2546
_cell_angle_alpha 90.00
_cell_angle_beta 90.00
_cell_angle_gamma 120.00
loop_
_atom_site_label
_atom_site_type_symbol
_atom_site_fract_x
_atom_site_fract_y
_atom_site_fract_z
Tb1 Tb 0.0000 0.0000 0.0000
Tb2 Tb 0.0818 0.1636 0.2934
Nd1 Nd 0.0000 0.4121 0.0000
Nd2 Nd 0.0976 0.5488 0.4645
Ho1 Ho 0.0000 0.0000 0.5000
```

[4]
Diffraction record for LiHo2Ga8. The powder XRD pattern is theoretical, not measured: it uses DFT lattice parameters and positions (GGA-PBE) and a wavelength of 1.5418 Å.
Peak positions follow from Bragg's law for the DFT cell and can differ from measured ones.

Largest 10 diffraction maxima, sorted by position, 5 to 70 degrees two-theta:
(hkl)	two_theta	intensity
0 0 1	7.9	18
0 0 2	15.8	13
1 0 0	20.7	13
1 1 1	30.5	16
1 1 2	33.6	54
1 1 3	38.2	100
0 0 5	40.2	22
2 0 0	42.1	52
2 0 5	59.6	27
2 2 0	61.0	17

```
data_LiHo2Ga8
_chemical_formula_sum 'Li1 Ho2 Ga8'
_symmetry_space_group_name_H-M 'P 4/m m m'
_symmetry_Int_Tables_number 123
_symmetry_space_group_name_Hall '-P 4 2'
_cell_length_a 4.2943
_cell_length_b 4.2943
_cell_length_c 11.2149
_cell_angle_alpha 90.00
_cell_angle_beta 90.00
_cell_angle_gamma 90.00
loop_
_atom_site_label
_atom_site_type_symbol
_atom_site_fract_x
_atom_site_fract_y
_atom_site_fract_z
Li1 Li 0.0000 0.0000 0.0000
Ho1 Ho 0.0000 0.0000 0.3116
Ga1 Ga 0.0000 0.5000 0.1250
Ga2 Ga 0.0000 0.5000 0.5000
Ga3 Ga 0.5000 0.5000 0.3060
```

[5]
Diffraction record for Na2CuTe5. The powder XRD pattern is theoretical, not measured: it uses DFT lattice parameters and positions (GGA-PBE) and a wavelength of 1.5418 Å.
Peak positions follow from Bragg's law for the DFT cell and can differ from measured ones.

Largest 10 diffraction maxima, sorted by position, 5 to 70 degrees two-theta:
(hkl)	two_theta	intensity
1 1 0	13.8	33
2 0 0	18.1	60
0 2 0	20.9	19
2 2 0	27.8	100
0 0 2	28.8	42
0 2 2	35.9	29
4 0 0	36.6	29
2 2 -2	39.1	53
2 2 2	41.7	45
0 4 0	42.5	30

```
data_Na2CuTe5
_chemical_formula_sum 'Na4 Cu2 Te10'
_symmetry_space_group_name_H-M 'C 1 m 1'
_symmetry_Int_Tables_number 8
_symmetry_space_group_name_Hall 'C -2y'
_cell_length_a 9.8586
_cell_length_b 8.5036
_cell_length_c 6.2197
_cell_angle_alpha 90.00
_cell_angle_beta 95.37
_cell_angle_gamma 90.00
loop_
_atom_site_label
_atom_site_type_symbol
_atom_site_fract_x
_atom_site_fract_y
_atom_site_fract_z
Na1 Na 0.0000 0.0000 0.0000
Na2 Na 0.0688 0.5000 0.6888
Cu1 Cu 0.3185 0.0000 0.9334
Te1 Te 0.0545 0.5000 0.1926
Te2 Te 0.2697 0.2402 0.2039
Te3 Te 0.3116 0.2520 0.7003
```

[6]
Diffraction record for ScCdMo2. The powder XRD pattern is theoretical, not measured: it uses DFT lattice parameters and positions (GGA-PBE) and a wavelength of 1.5418 Å.
Peak positions follow from Bragg's law for the DFT cell and can differ from measured ones.

Largest 10 diffraction maxima, sorted by position, 5 to 70 degrees two-theta:
(hkl)	two_theta	intensity
0 1 1	22.5	7
1 0 1	27.0	5
1 1 2	38.0	100
0 0 4	38.2	25
0 2 0	41.5	19
2 0 0	51.8	10
0 2 4	57.7	14
2 0 4	66.1	9
2 2 0	68.5	8
1 1 6	68.9	16

```
data_ScCdMo2
_chemical_formula_sum 'Sc2 Cd2 Mo4'
_symmetry_space_group_name_H-M 'I m m m'
_symmetry_Int_Tables_number 71
_symmetry_space_group_name_Hall '-I 2 2'
_cell_length_a 3.5295
_cell_length_b 4.3476
_cell_length_c 9.4280
_cell_angle_alpha 90.00
_cell_angle_beta 90.00
_cell_angle_gamma 90.00
loop_
_atom_site_label
_atom_site_type_symbol
_atom_site_fract_x
_atom_site_fract_y
_atom_site_fract_z
Sc1 Sc 0.0000 0.0000 0.0000
Cd1 Cd 0.0000 0.0000 0.5000
Mo1 Mo 0.0000 0.5000 0.2522
```